Starting from a crystal structure in Alexandria, relaxed with PBE, the powder diffraction line list of TbNd3Pt4 was calculated for Cu Kα, 1.54184 Å.
Kinematic intensities with the Lorentz-polarization factor, no thermal factor.

Principal peaks in the range 2θ = 10–80°, low angle first:
Position (°2θ)  d/Å  Rel. int.
22.77  3.906  39
28.32  3.152  65
35.55  2.525  100
36.47  2.463  35
39.22  2.297  50
44.93  2.018  30
46.69  1.945  30
58.58  1.576  31

Structure:
```
TbNd3Pt4
1.0
4.035 0.000 0.000
0.000 6.635 0.000
0.000 0.000 15.551
Tb Nd Pt
2 6 8
direct
0.000 0.000 0.000 Tb
0.500 0.500 0.500 Tb
0.000 0.000 0.500 Nd
0.000 0.500 0.301 Nd
0.000 0.500 0.699 Nd
0.500 0.000 0.199 Nd
0.500 0.000 0.801 Nd
0.500 0.500 0.000 Nd
0.000 0.295 0.127 Pt
0.000 0.295 0.873 Pt
0.000 0.705 0.127 Pt
0.000 0.705 0.873 Pt
0.500 0.205 0.373 Pt
0.500 0.205 0.627 Pt
0.500 0.795 0.373 Pt
0.500 0.795 0.627 Pt
```

Starting from a crystal structure in Alexandria, relaxed with PBE, the powder diffraction line list of TbNd2Pt3 was calculated for Cu Kα, 1.54184 Å.
Kinematic intensities with the Lorentz-polarization factor, no thermal factor.

Principal peaks in the range 2θ = 10–80°, low angle first:
Position (°2θ)  d/Å  Rel. int.
30.37  2.943  100
43.49  2.081  75
53.97  1.699  27
63.14  1.473  8
71.67  1.317  23
71.81  1.315  11
79.80  1.202  17
79.91  1.200  9

Structure:
```
TbNd2Pt3
1.0
6.587 -2.938 0.000
6.587 2.938 0.000
-2.641 0.000 7.900
Tb Nd Pt
2 4 6
direct
0.004 0.996 0.750 Tb
0.996 0.004 0.250 Tb
0.330 0.335 0.916 Nd
0.335 0.330 0.416 Nd
0.665 0.670 0.584 Nd
0.670 0.665 0.084 Nd
0.158 0.163 0.580 Pt
0.163 0.158 0.080 Pt
0.497 0.503 0.250 Pt
0.503 0.497 0.750 Pt
0.837 0.842 0.920 Pt
0.842 0.837 0.420 Pt
```

Starting from a crystal structure in Alexandria, relaxed with PBE, the powder diffraction line list of TbNd3Pt2 was calculated for Cu Kα, 1.54184 Å.
Kinematic intensities with the Lorentz-polarization factor, no thermal factor.

Principal peaks in the range 2θ = 10–80°, low angle first:
Position (°2θ)  d/Å  Rel. int.
29.41  3.037  80
30.45  2.935  30
31.29  2.859  25
32.03  2.794  100
34.74  2.582  70
36.74  2.446  67
42.49  2.128  30
42.82  2.112  39

Structure:
```
TbNd3Pt2
1.0
4.892 0.000 0.000
0.000 9.120 0.000
0.000 0.000 7.338
Tb Nd Pt
2 6 4
direct
0.000 0.086 0.000 Tb
0.000 0.914 0.500 Tb
0.000 0.334 0.639 Nd
0.000 0.666 0.139 Nd
0.500 0.161 0.350 Nd
0.500 0.414 0.989 Nd
0.500 0.586 0.489 Nd
0.500 0.839 0.850 Nd
0.000 0.336 0.233 Pt
0.000 0.664 0.733 Pt
0.500 0.157 0.759 Pt
0.500 0.843 0.259 Pt
```

Starting from a crystal structure in Alexandria, relaxed with PBE, the powder diffraction line list of Tb3Nd3Pt2 was calculated for Cu Kα, 1.54184 Å.
Kinematic intensities with the Lorentz-polarization factor, no thermal factor.

Principal peaks in the range 2θ = 10–80°, low angle first:
Position (°2θ)  d/Å  Rel. int.
13.60  6.510  40
30.29  2.951  100
30.78  2.905  93
33.97  2.639  87
34.19  2.622  67
34.43  2.605  52
45.06  2.012  39
57.76  1.596  30

Structure:
```
Tb3Nd3Pt2
1.0
2.012 -6.510 0.000
2.012 6.510 0.000
0.000 0.000 17.706
Tb Nd Pt
6 6 4
direct
0.112 0.888 0.750 Tb
0.156 0.844 0.042 Tb
0.156 0.844 0.458 Tb
0.844 0.156 0.542 Tb
0.844 0.156 0.958 Tb
0.888 0.112 0.250 Tb
0.160 0.840 0.250 Nd
0.452 0.548 0.104 Nd
0.452 0.548 0.396 Nd
0.548 0.452 0.604 Nd
0.548 0.452 0.896 Nd
0.840 0.160 0.750 Nd
0.244 0.756 0.623 Pt
0.244 0.756 0.877 Pt
0.756 0.244 0.123 Pt
0.756 0.244 0.377 Pt
```

Starting from a crystal structure in Alexandria, relaxed with PBE, the powder diffraction line list of Tb4Nd3Pt4 was calculated for Cu Kα, 1.54184 Å.
Kinematic intensities with the Lorentz-polarization factor, no thermal factor.

Principal peaks in the range 2θ = 10–80°, low angle first:
Position (°2θ)  d/Å  Rel. int.
30.41  2.940  100
30.67  2.915  27
31.99  2.798  53
34.52  2.598  29
38.87  2.317  43
41.29  2.186  38
41.49  2.176  17
41.69  2.166  29

Structure:
```
Tb4Nd3Pt4
1.0
-2.317 3.920 7.850
2.317 -3.920 7.850
2.317 3.920 -7.850
Tb Nd Pt
4 3 4
direct
0.041 0.829 0.212 Tb
0.383 0.171 0.212 Tb
0.617 0.829 0.788 Tb
0.959 0.171 0.788 Tb
0.000 0.500 0.500 Nd
0.399 0.399 0.000 Nd
0.601 0.601 0.000 Nd
0.208 0.708 0.500 Pt
0.314 0.000 0.314 Pt
0.686 0.000 0.686 Pt
0.792 0.292 0.500 Pt
```

Starting from a crystal structure in Alexandria, relaxed with PBE, the powder diffraction line list of Tb3Nd2Pt2 was calculated for Cu Kα, 1.54184 Å.
Kinematic intensities with the Lorentz-polarization factor, no thermal factor.

Principal peaks in the range 2θ = 10–80°, low angle first:
Position (°2θ)  d/Å  Rel. int.
30.61  2.921  50
31.82  2.812  44
32.46  2.758  42
33.70  2.659  100
33.97  2.639  31
35.56  2.525  37
38.42  2.343  43
47.87  1.900  34

Structure:
```
Tb3Nd2Pt2
1.0
12.543 0.000 0.000
0.000 3.801 0.000
-4.158 0.000 8.178
Tb Nd Pt
6 4 4
direct
0.000 0.000 0.000 Tb
0.116 0.000 0.436 Tb
0.384 0.500 0.564 Tb
0.500 0.500 0.000 Tb
0.616 0.500 0.436 Tb
0.884 0.000 0.564 Tb
0.161 0.500 0.812 Nd
0.339 0.000 0.188 Nd
0.661 0.000 0.812 Nd
0.839 0.500 0.188 Nd
0.168 0.500 0.241 Pt
0.332 0.000 0.759 Pt
0.668 0.000 0.241 Pt
0.832 0.500 0.759 Pt
```

Starting from a crystal structure in Alexandria, relaxed with PBE, the powder diffraction line list of Nd4TcPt was calculated for Cu Kα, 1.54184 Å.
Kinematic intensities with the Lorentz-polarization factor, no thermal factor.

Principal peaks in the range 2θ = 10–80°, low angle first:
Position (°2θ)  d/Å  Rel. int.
29.80  2.998  100
31.41  2.848  84
33.22  2.697  41
34.61  2.592  59
35.49  2.530  43
35.59  2.523  47
37.83  2.378  90
40.55  2.225  54

Structure:
```
Nd4TcPt
1.0
6.562 0.000 0.000
-1.387 7.702 0.000
-2.583 -3.838 6.683
Nd Tc Pt
8 2 2
direct
0.010 0.234 0.367 Nd
0.206 0.300 0.849 Nd
0.358 0.633 0.368 Nd
0.358 0.952 0.151 Nd
0.642 0.048 0.849 Nd
0.642 0.367 0.632 Nd
0.794 0.700 0.151 Nd
0.990 0.766 0.633 Nd
0.253 0.003 0.506 Tc
0.747 0.997 0.494 Tc
0.385 0.635 0.770 Pt
0.615 0.365 0.230 Pt
```

Starting from a crystal structure in Alexandria, relaxed with PBE, the powder diffraction line list of NdThPt was calculated for Cu Kα, 1.54184 Å.
Kinematic intensities with the Lorentz-polarization factor, no thermal factor.

Principal peaks in the range 2θ = 10–80°, low angle first:
Position (°2θ)  d/Å  Rel. int.
11.65  7.596  58
24.46  3.639  22
25.87  3.445  20
31.96  2.801  100
33.45  2.679  42
40.06  2.251  90
53.12  1.724  18
53.18  1.722  23

Structure:
```
NdThPt
1.0
7.596 0.000 0.000
0.000 10.717 0.000
0.000 0.000 4.497
Nd Th Pt
4 4 4
direct
0.106 0.118 0.250 Nd
0.106 0.382 0.750 Nd
0.894 0.618 0.250 Nd
0.894 0.882 0.750 Nd
0.387 0.619 0.250 Th
0.387 0.881 0.750 Th
0.613 0.119 0.250 Th
0.613 0.381 0.750 Th
0.365 0.147 0.750 Pt
0.365 0.353 0.250 Pt
0.635 0.647 0.750 Pt
0.635 0.853 0.250 Pt
```

Starting from a crystal structure in Alexandria, relaxed with PBE, the powder diffraction line list of NdTh5Pt6 was calculated for Cu Kα, 1.54184 Å.
Kinematic intensities with the Lorentz-polarization factor, no thermal factor.

Principal peaks in the range 2θ = 10–80°, low angle first:
Position (°2θ)  d/Å  Rel. int.
30.11  2.968  100
42.55  2.125  13
42.90  2.108  26
43.32  2.088  25
43.61  2.075  12
53.92  1.700  13
62.59  1.484  13
70.72  1.332  12

Structure:
```
NdTh5Pt6
1.0
3.625 -6.226 0.000
3.625 6.226 0.000
-2.362 0.000 6.953
Nd Th Pt
1 5 6
direct
0.000 0.000 0.000 Nd
0.167 0.833 0.500 Th
0.333 0.667 0.000 Th
0.500 0.500 0.500 Th
0.667 0.333 0.000 Th
0.833 0.167 0.500 Th
0.085 0.422 0.253 Pt
0.254 0.254 0.747 Pt
0.422 0.085 0.253 Pt
0.578 0.915 0.747 Pt
0.746 0.746 0.253 Pt
0.915 0.578 0.747 Pt
```

Starting from a crystal structure in Alexandria, relaxed with PBE, the powder diffraction line list of NdTi2Pt3 was calculated for Cu Kα, 1.54184 Å.
Kinematic intensities with the Lorentz-polarization factor, no thermal factor.

Principal peaks in the range 2θ = 10–80°, low angle first:
Position (°2θ)  d/Å  Rel. int.
31.61  2.830  55
32.16  2.783  100
32.28  2.773  57
34.64  2.590  54
42.67  2.119  27
44.36  2.042  34
47.60  1.911  36
56.68  1.624  32

Structure:
```
NdTi2Pt3
1.0
5.227 -4.009 0.000
5.227 4.009 0.000
0.000 0.000 5.660
Nd Ti Pt
2 4 6
direct
0.166 0.834 0.750 Nd
0.834 0.166 0.250 Nd
0.291 0.291 0.000 Ti
0.291 0.291 0.500 Ti
0.709 0.709 0.000 Ti
0.709 0.709 0.500 Ti
0.033 0.650 0.250 Pt
0.350 0.967 0.250 Pt
0.459 0.541 0.250 Pt
0.541 0.459 0.750 Pt
0.650 0.033 0.750 Pt
0.967 0.350 0.750 Pt
```

Starting from a crystal structure in Alexandria, relaxed with PBE, the powder diffraction line list of Nd8Tl2Pt was calculated for Cu Kα, 1.54184 Å.
Kinematic intensities with the Lorentz-polarization factor, no thermal factor.

Principal peaks in the range 2θ = 10–80°, low angle first:
Position (°2θ)  d/Å  Rel. int.
29.08  3.071  73
30.88  2.896  100
31.75  2.819  27
32.87  2.725  47
34.58  2.594  78
35.28  2.544  30
36.72  2.447  43
62.22  1.492  27

Structure:
```
Nd8Tl2Pt
1.0
9.834 -2.594 0.000
9.834 2.594 0.000
-1.744 0.000 6.778
Nd Tl Pt
8 2 1
direct
0.016 0.016 0.280 Nd
0.211 0.211 0.821 Nd
0.351 0.351 0.508 Nd
0.410 0.410 0.040 Nd
0.590 0.590 0.960 Nd
0.649 0.649 0.492 Nd
0.789 0.789 0.179 Nd
0.984 0.984 0.720 Nd
0.182 0.182 0.255 Tl
0.818 0.818 0.745 Tl
0.500 0.500 0.500 Pt
```

Starting from a crystal structure in Alexandria, relaxed with PBE, the powder diffraction line list of NdTm2Pt2 was calculated for Cu Kα, 1.54184 Å.
Kinematic intensities with the Lorentz-polarization factor, no thermal factor.

Principal peaks in the range 2θ = 10–80°, low angle first:
Position (°2θ)  d/Å  Rel. int.
17.21  5.153  33
31.89  2.806  100
32.41  2.762  98
35.96  2.497  54
38.76  2.323  74
40.66  2.219  67
41.92  2.155  64
53.90  1.701  34

Structure:
```
NdTm2Pt2
1.0
5.397 0.000 0.000
0.000 4.646 0.000
-1.178 0.000 10.307
Nd Tm Pt
2 4 4
direct
0.083 0.250 0.280 Nd
0.917 0.750 0.720 Nd
0.272 0.750 0.027 Tm
0.373 0.250 0.613 Tm
0.627 0.750 0.387 Tm
0.728 0.250 0.973 Tm
0.160 0.750 0.473 Pt
0.204 0.250 0.868 Pt
0.796 0.750 0.132 Pt
0.840 0.250 0.527 Pt
```

Starting from a crystal structure in Alexandria, relaxed with PBE, the powder diffraction line list of Nd2TmPt2 was calculated for Cu Kα, 1.54184 Å.
Kinematic intensities with the Lorentz-polarization factor, no thermal factor.

Principal peaks in the range 2θ = 10–80°, low angle first:
Position (°2θ)  d/Å  Rel. int.
18.73  4.737  37
32.04  2.794  84
32.58  2.748  27
35.99  2.495  100
36.14  2.485  29
45.00  2.015  26
49.77  1.832  24
60.58  1.528  38

Structure:
```
Nd2TmPt2
1.0
4.029 0.000 0.000
0.000 6.748 0.000
0.000 0.000 9.473
Nd Tm Pt
4 2 4
direct
0.000 0.000 0.194 Nd
0.000 0.000 0.806 Nd
0.500 0.500 0.306 Nd
0.500 0.500 0.694 Nd
0.000 0.500 0.000 Tm
0.500 0.000 0.500 Tm
0.000 0.288 0.500 Pt
0.000 0.712 0.500 Pt
0.500 0.212 0.000 Pt
0.500 0.788 0.000 Pt
```

Starting from a crystal structure in Alexandria, relaxed with PBE, the powder diffraction line list of NdTmZnPt was calculated for Cu Kα, 1.54184 Å.
Kinematic intensities with the Lorentz-polarization factor, no thermal factor.

Principal peaks in the range 2θ = 10–80°, low angle first:
Position (°2θ)  d/Å  Rel. int.
16.19  5.474  20
31.75  2.818  100
32.72  2.737  24
33.72  2.658  31
38.69  2.327  27
39.56  2.278  62
40.80  2.212  29
46.84  1.940  19

Structure:
```
NdTmZnPt
1.0
4.423 0.000 0.000
0.000 3.879 0.000
0.000 0.000 10.948
Nd Tm Zn Pt
2 2 2 2
direct
0.000 0.000 0.000 Nd
0.000 0.500 0.500 Nd
0.500 0.000 0.717 Tm
0.500 0.500 0.217 Tm
0.500 0.000 0.427 Zn
0.500 0.500 0.927 Zn
0.000 0.000 0.278 Pt
0.000 0.500 0.778 Pt
```